For ErNi4Au, a DFT-relaxed cell (PBE, the Materials Project) gives the theoretical X-ray diffraction stick pattern in this record (Cu Kα).
Lines closer than 0.1° are merged.

Largest 8 diffraction maxima, in order of rising 2θ, 5 to 70 degrees two-theta:
2θ (°), intensity
22.17, 19.6
25.65, 0.6
36.60, 69.9
43.20, 100.0
45.23, 13.1
52.72, 1.2
57.87, 5.2
65.88, 25.6

Structure:
```
ErNi4Au
1.0
0.000 3.473 3.473
3.473 0.000 3.473
3.473 3.473 0.000
Er Ni Au
1 4 1
Cartesian
0.000 0.000 0.000 Er
2.609 2.609 2.609 Ni
4.337 4.337 2.609 Ni
4.337 2.609 4.337 Ni
2.609 4.337 4.337 Ni
5.209 5.209 5.209 Au
```